[1]
Diffraction record for MgSi5O10. The X-ray diffraction stick pattern is calculated, not measured: it uses a structure optimized by DFT (PBE) and Cu Kα.

Structural model:
Cell: 6.959 6.959 6.473 Å, 90.00 90.00 90.00°
Space group P-4m2 (No. 115)
One atom of each set of equivalent atoms:
Mg: 0.000 0.000 0.000 x1
Si: 0.231 0.500 0.619 x4
Si: 0.500 0.500 0.000 x1
O: 0.000 0.500 0.620 x2
O: 0.308 0.308 0.500 x4
O: 0.308 0.500 0.857 x4

Top 10 peaks for 10° ≤ 2θ ≤ 90°, by angle:
Position (°2θ)  d/Å  intensity  h k l
12.72  6.959  100  1 0 0
13.68  6.473  18  0 0 1
18.72  4.740  40  1 0 1
22.70  3.917  28  1 1 1
28.68  3.112  13  2 1 0
29.14  3.065  34  2 0 1
30.46  2.935  9  1 0 2
31.91  2.805  12  2 1 1
49.72  1.834  8  2 0 3
52.61  1.740  7  4 0 0

=====

[2]
Diffraction record for Mg2SiO4. The X-ray diffraction stick pattern is calculated, not measured: it uses a structure optimized by DFT (PBE) and Cu Kα.

Structural model:
Cell: 5.482 7.392 7.549 Å, 90.00 90.00 90.00°
Space group P2_12_12_1 (No. 19)
One atom of each set of equivalent atoms:
Mg: 0.093 0.244 0.358 x4
Mg: 0.217 0.437 0.041 x4
Si: 0.130 0.144 0.765 x4
O: 0.046 0.213 0.960 x4
O: 0.124 0.987 0.288 x4
O: 0.140 0.573 0.808 x4
O: 0.225 0.282 0.606 x4

Top 10 peaks for 10° ≤ 2θ ≤ 90°, by angle:
Position (°2θ)  d/Å  intensity  h k l
26.86  3.320  83  0 2 1
29.14  3.065  31  1 2 0
31.21  2.866  100  1 1 2
34.91  2.570  63  2 1 0
37.78  2.381  51  0 1 3
51.19  1.784  22  1 0 4
51.31  1.781  33  2 3 1
53.73  1.706  31  1 4 1
55.91  1.645  21  3 0 2
61.74  1.502  21  3 2 2

=====

[3]
Diffraction record for Mg5Si8O30. The X-ray diffraction stick pattern is calculated, not measured: it uses a structure optimized by DFT (PBE) and Cu Kα.

Structural model:
Cell: 13.867 18.309 5.346 Å, 90.00 106.10 90.00°
Space group C2/m (No. 12)
One atom of each set of equivalent atoms:
Mg: 0.000 0.000 0.000 x2
Mg: 0.000 0.096 0.500 x4
Mg: 0.000 0.170 0.000 x4
Si: 0.210 0.085 0.976 x8
Si: 0.211 0.167 0.471 x8
O: 0.000 0.341 0.500 x4
O: 0.000 0.362 0.000 x4
O: 0.041 0.270 0.826 x8
O: 0.059 0.000 0.398 x4
O: 0.087 0.088 0.897 x8
O: 0.089 0.164 0.369 x8
O: 0.243 0.375 0.744 x8
O: 0.248 0.000 0.001 x4
O: 0.249 0.375 0.247 x8
O: 0.250 0.250 0.500 x4

Top 10 peaks for 10° ≤ 2θ ≤ 90°, by angle:
Position (°2θ)  d/Å  intensity  h k l
19.39  4.577  69  0 4 0
19.82  4.479  48  0 2 1
21.06  4.219  71  2 2 -1
23.58  3.773  19  2 4 0
24.79  3.591  20  3 3 0
26.53  3.360  35  2 2 1
26.76  3.331  100  4 0 0
33.39  2.683  41  3 5 -1
34.94  2.568  55  0 0 2
52.74  1.736  18  7 5 -1

=====

[4]
Diffraction record for Mg2Si4O11. The X-ray diffraction stick pattern is calculated, not measured: it uses a structure optimized by DFT (PBE) and Cu Kα.

Structural model:
Cell: 13.894 17.769 5.343 Å, 90.00 101.47 90.00°
Space group C2/m (No. 12)
One atom of each set of equivalent atoms:
Mg: 0.000 0.103 0.000 x4
Mg: 0.000 0.155 0.500 x4
Si: 0.210 0.087 0.401 x8
Si: 0.211 0.167 0.902 x8
O: 0.060 0.000 0.903 x4
O: 0.091 0.169 0.830 x8
O: 0.092 0.100 0.336 x8
O: 0.241 0.000 0.471 x4
O: 0.245 0.359 0.350 x8
O: 0.248 0.390 0.856 x8
O: 0.250 0.250 0.000 x4

Top 10 peaks for 10° ≤ 2θ ≤ 90°, by angle:
Position (°2θ)  d/Å  intensity  h k l
13.00  6.808  100  2 0 0
16.32  5.431  42  1 3 0
19.68  4.511  17  0 2 1
19.99  4.442  68  0 4 0
21.69  4.097  60  2 2 -1
22.63  3.929  14  1 3 -1
26.18  3.404  38  4 0 0
31.84  2.810  18  1 5 1
34.18  2.623  13  2 0 -2
36.03  2.493  19  2 6 -1

=====

[5]
Diffraction record for MgSi8O16. The X-ray diffraction stick pattern is calculated, not measured: it uses a structure optimized by DFT (PBE) and Cu Kα.

Structural model:
Cell: 7.197 7.197 8.928 Å, 90.00 90.00 90.00°
Space group Pmmm (No. 47)
One atom of each set of equivalent atoms:
Mg: 0.000 0.000 0.000 x1
Si: 0.219 0.500 0.320 x4
Si: 0.500 0.219 0.180 x4
O: 0.000 0.500 0.278 x2
O: 0.248 0.500 0.500 x2
O: 0.314 0.314 0.250 x8
O: 0.500 0.000 0.223 x2
O: 0.500 0.249 0.000 x2

Top 10 peaks for 10° ≤ 2θ ≤ 90°, by angle:
Position (°2θ)  d/Å  intensity  h k l
12.30  7.197  100  1 0 0
15.82  5.603  54  0 1 1
19.89  4.464  42  0 0 2
23.45  3.794  18  1 0 2
26.56  3.356  11  1 1 2
26.71  3.338  32  2 0 1
27.72  3.219  54  2 1 0
32.56  2.750  12  1 0 3
39.28  2.293  9  0 2 3
50.74  1.799  10  4 0 0

=====

- What is the formula in the fourth record?
  Mg2Si4O11